Simulated PXRD pattern
Compound: La4Pm4Nd3
Radiation: CuKα
Structure: a structure optimized by DFT (PBE)
Intensities are scaled so that the largest is 100.

Structural model:
```
11
Lattice="10.984 0.000 0.000 0.000 2.943 6.107 0.000 -2.943 6.107" Properties=species:S:1:pos:R:3 pbc="T T T"
La 0.000 0.000 0.000
La 2.261 0.000 9.811
La 5.492 0.000 11.310
La 8.723 0.000 9.811
Pm 0.000 0.000 7.249
Pm 3.342 0.000 1.831
Pm 5.492 0.000 7.921
Pm 7.642 0.000 1.831
Nd 0.000 0.000 3.600
Nd 3.227 0.000 5.528
Nd 7.758 0.000 5.528
```

Top 8 peaks for 15 to 90 degrees two-theta, in order of rising 2θ:
Position (°2θ)  I_rel
29.7  36
30.4  57
31.3  100
32.6  14
43.5  13
54.5  21
60.7  14
60.9  15

Simulated PXRD pattern
Compound: Pu2Hg3Pb3
Radiation: CuKα
Structure: a structure optimized by DFT (PBE)
Intensities are scaled so that the largest is 100.

Structural model:
```
8
Lattice="4.751 0.000 0.000 0.000 4.871 0.000 0.000 0.000 9.224" Properties=species:S:1:pos:R:3 pbc="T T T"
Pu 0.000 0.000 2.299
Pu 0.000 0.000 6.925
Hg 0.000 2.435 0.000
Hg 2.375 2.435 2.255
Hg 2.375 2.435 6.969
Pb 0.000 2.435 4.612
Pb 2.375 0.000 0.000
Pb 2.375 0.000 4.612
```

Top 8 peaks for 15 to 90 degrees two-theta, in order of rising 2θ:
Position (°2θ)  I_rel
32.7  100
36.9  18
37.9  17
39.1  16
53.9  13
63.9  15
65.2  14
66.8  13

Simulated PXRD pattern
Compound: Co2Br
Radiation: CuKα
Structure: a structure optimized by DFT (PBE)
Intensities are scaled so that the largest is 100.

Structural model:
```
6
Lattice="0.000 9.153 3.389 1.957 0.000 3.389 1.957 9.153 0.000" Properties=species:S:1:pos:R:3 pbc="T T T"
Co 0.000 0.000 0.000
Co 1.957 9.153 2.259
Co 1.957 7.962 4.519
Co 1.957 10.343 4.519
Br 1.957 6.524 2.258
Br 1.957 11.781 2.258
```

Top 8 peaks for 15 to 90 degrees two-theta, in order of rising 2θ:
Position (°2θ)  I_rel
26.8  32
30.2  59
39.8  37
43.7  95
46.4  38
46.7  100
62.7  27
84.2  26

Simulated PXRD pattern
Compound: ZnInI3
Radiation: CuKα
Structure: a structure optimized by DFT (PBE)
Intensities are scaled so that the largest is 100.

Structural model:
```
10
Lattice="6.353 0.000 0.000 0.192 8.533 0.000 0.201 2.006 8.294" Properties=species:S:1:pos:R:3 pbc="T T T"
Zn 0.000 0.000 0.000
Zn 0.200 4.226 5.483
In 1.041 8.569 4.452
In 5.696 4.196 1.022
I 1.731 4.188 7.733
I 1.648 3.677 3.415
I 1.846 8.404 8.248
I 4.898 0.550 2.065
I 5.097 6.361 5.529
I 5.019 2.045 6.045
```

Top 8 peaks for 15 to 90 degrees two-theta, in order of rising 2θ:
Position (°2θ)  I_rel
25.4  100
25.9  28
26.1  42
28.1  13
38.5  17
38.9  22
42.4  18
50.1  18